This entry pairs a crystal structure of SnS with its simulated X-ray diffraction stick pattern. Radiation: λ = 1.5418 Å (Cu Kα). Structure: a DFT-relaxed cell (PBE, the Materials Project).
Kinematic intensities with the Lorentz-polarization factor, no thermal factor.

Structural model:
```
SnS
1.0
11.4327 0.0000 0.0000
0.0000 4.0240 0.0000
0.0000 0.0000 4.4425
Sn S
4 4
Direct
0.1212 0.2500 0.1260
0.3788 0.7500 0.6260
0.6212 0.2500 0.3740
0.8788 0.7500 0.8740
0.1502 0.7500 0.5199
0.3498 0.2500 0.0199
0.6502 0.7500 0.9801
0.8498 0.2500 0.4801
```

Most intense lines, 2θ from 10° to 90°, by angle:
two_theta, I/Imax, index
25.39, 72, 2 0 1
27.10, 71, 2 1 0
29.96, 58, 0 1 1
30.99, 100, 1 1 1
31.30, 70, 4 0 0
38.32, 41, 3 1 1
43.87, 41, 4 1 1
47.40, 47, 3 0 2